(1)
Simulated powder diffractogram
Compound: Y4Ga5Si2
Radiation: Cu Kα (λ = 1.5418 Å)
Structure: a DFT-relaxed cell (GGA-PBE, Alexandria)
Kinematic intensities with the Lorentz-polarization factor, no thermal factor.

Structural model:
abc: 6.9577 4.2464 7.9293
angles: 90.00 90.69 90.00
Space group P2/m (No. 10)
One atom of each set of equivalent atoms:
Y: 0.2203 0.0000 0.3636 (multiplicity 2)
Y: 0.2432 0.0000 0.8918 (multiplicity 2)
Ga: 0.1272 0.5000 0.6217 (multiplicity 2)
Ga: 0.4451 0.5000 0.1575 (multiplicity 2)
Ga: 0.5000 0.5000 0.5000 (multiplicity 1)
Si: 0.0825 0.5000 0.1292 (multiplicity 2)

Principal peaks in the range 10° ≤ 2θ ≤ 90°, low angle first:
2θ (°), I (rel.), h k l
33.34, 100, 2 1 0
33.61, 50, 1 1 2
36.51, 10, 1 0 3
42.58, 27, 0 2 0
45.05, 11, 3 0 -2
45.56, 14, 3 0 2
45.78, 11, 0 0 4
57.28, 10, 4 1 0
64.12, 10, 3 2 2
72.06, 10, 2 3 0


(2)
Simulated powder diffractogram
Compound: Pm2Pr3Ho3
Radiation: Cu Kα (λ = 1.5418 Å)
Structure: a DFT-relaxed cell (GGA-PBE, Alexandria)
Kinematic intensities with the Lorentz-polarization factor, no thermal factor.

Structural model:
abc: 5.1087 5.1411 20.5350
angles: 90.00 90.00 90.00
Space group Immm (No. 71)
One atom of each set of equivalent atoms:
Pm: 0.0000 0.0000 0.2494 (multiplicity 4)
Pr: 0.0000 0.0000 0.0000 (multiplicity 2)
Pr: 0.0000 0.5000 0.1238 (multiplicity 4)
Ho: 0.0000 0.0000 0.5000 (multiplicity 2)
Ho: 0.0000 0.5000 0.3749 (multiplicity 4)

Principal peaks in the range 10° ≤ 2θ ≤ 90°, low angle first:
2θ (°), I (rel.), h k l
30.19, 100, 1 1 4
34.93, 34, 0 2 0
35.13, 17, 2 0 0
50.23, 12, 0 2 8
50.38, 24, 2 2 0
59.73, 29, 1 3 4
60.00, 14, 3 1 4
62.77, 12, 2 2 8
81.73, 6, 1 3 12
81.97, 12, 3 3 4


(3)
Simulated powder diffractogram
Compound: Ga2H2Cl3
Radiation: Cu Kα (λ = 1.5418 Å)
Structure: a DFT-relaxed cell (GGA-PBE, Alexandria)
Kinematic intensities with the Lorentz-polarization factor, no thermal factor.

Structural model:
abc: 4.3524 5.9649 7.5272
angles: 96.48 90.02 111.03
Space group P-1 (No. 2)
One atom of each set of equivalent atoms:
Ga: 0.0367 0.0757 0.1924 (multiplicity 2)
H: 0.0912 0.1861 0.9306 (multiplicity 2)
Cl: 0.0000 0.0000 0.5000 (multiplicity 1)
Cl: 0.3694 0.7339 0.8030 (multiplicity 2)

Principal peaks in the range 10° ≤ 2θ ≤ 90°, low angle first:
2θ (°), I (rel.), h k l
16.04, 100, 0 1 0
18.78, 51, 0 1 -1
21.12, 32, 0 1 1
21.95, 63, 1 -1 0
23.82, 25, 0 0 2
31.72, 30, 1 1 0
31.92, 32, 1 -2 0
36.04, 33, 0 0 3
37.78, 20, 0 1 -3
41.50, 23, 2 -1 0


(4)
Simulated powder diffractogram
Compound: BaLiAcCu
Radiation: Cu Kα (λ = 1.5418 Å)
Structure: a DFT-relaxed cell (GGA-PBE, Alexandria)
Kinematic intensities with the Lorentz-polarization factor, no thermal factor.

Structural model:
abc: 7.9879 7.9879 7.9879
angles: 90.00 90.00 90.00
Space group F-43m (No. 216)
One atom of each set of equivalent atoms:
Ba: 0.0000 0.0000 0.0000 (multiplicity 4)
Li: 0.2500 0.2500 0.7500 (multiplicity 4)
Ac: 0.0000 0.0000 0.5000 (multiplicity 4)
Cu: 0.2500 0.2500 0.2500 (multiplicity 4)

Principal peaks in the range 10° ≤ 2θ ≤ 90°, low angle first:
2θ (°), I (rel.), h k l
19.25, 14, 1 1 1
22.26, 50, 2 0 0
31.68, 100, 2 2 0
39.06, 16, 2 2 2
45.42, 18, 4 0 0
51.14, 23, 4 2 0
56.43, 39, 4 2 2
66.18, 12, 4 4 0
70.77, 11, 6 0 0
75.23, 17, 6 2 0


(5)
Simulated powder diffractogram
Compound: Sc8BiSb2
Radiation: Cu Kα (λ = 1.5418 Å)
Structure: a DFT-relaxed cell (GGA-PBE, Alexandria)
Kinematic intensities with the Lorentz-polarization factor, no thermal factor.

Structural model:
abc: 16.5277 4.3907 7.6975
angles: 90.00 111.83 90.00
Space group C2/m (No. 12)
One atom of each set of equivalent atoms:
Sc: 0.0434 0.0000 0.2404 (multiplicity 4)
Sc: 0.0905 0.5000 0.9653 (multiplicity 4)
Sc: 0.1563 0.0000 0.7328 (multiplicity 4)
Sc: 0.1804 0.5000 0.4125 (multiplicity 4)
Bi: 0.0000 0.5000 0.5000 (multiplicity 2)
Sb: 0.2141 0.0000 0.1718 (multiplicity 4)

Principal peaks in the range 10° ≤ 2θ ≤ 90°, low angle first:
2θ (°), I (rel.), h k l
19.88, 27, 2 0 1
23.21, 36, 2 0 -2
23.35, 44, 1 1 -1
26.76, 26, 3 1 0
33.99, 100, 5 1 -1
34.51, 99, 1 1 2
36.25, 34, 4 0 -3
41.11, 37, 0 2 0
41.71, 28, 6 0 1
55.96, 18, 4 2 -3


(6)
Simulated powder diffractogram
Compound: Pr3CBr5
Radiation: Cu Kα (λ = 1.5418 Å)
Structure: a DFT-relaxed cell (GGA-PBE, Alexandria)
Kinematic intensities with the Lorentz-polarization factor, no thermal factor.

Structural model:
abc: 7.7354 9.2184 9.3451
angles: 107.31 97.03 104.99
Space group P-1 (No. 2)
One atom of each set of equivalent atoms:
Pr: 0.0325 0.2208 0.4190 (multiplicity 2)
Pr: 0.1145 0.5456 0.2694 (multiplicity 2)
Pr: 0.3846 0.6481 0.6972 (multiplicity 2)
C: 0.0898 0.5324 0.5448 (multiplicity 2)
Br: 0.0897 0.8723 0.3232 (multiplicity 2)
Br: 0.1894 0.2369 0.1470 (multiplicity 2)
Br: 0.2455 0.5835 0.9611 (multiplicity 2)
Br: 0.3376 0.9614 0.7756 (multiplicity 2)
Br: 0.4590 0.3178 0.5858 (multiplicity 2)

Principal peaks in the range 10° ≤ 2θ ≤ 90°, low angle first:
2θ (°), I (rel.), h k l
10.15, 42, 0 0 1
10.58, 41, 0 1 0
28.50, 100, 2 0 1
30.07, 87, 1 1 -3
30.56, 77, 1 -3 0
41.07, 29, 3 1 -2
41.49, 33, 3 -3 1
42.72, 31, 1 -1 4
43.01, 52, 1 3 1
43.82, 28, 0 4 -3


(7)
Simulated powder diffractogram
Compound: PrThGaSi
Radiation: Cu Kα (λ = 1.5418 Å)
Structure: a DFT-relaxed cell (GGA-PBE, Alexandria)
Kinematic intensities with the Lorentz-polarization factor, no thermal factor.

Structural model:
abc: 4.0572 4.4349 11.2814
angles: 90.00 90.00 90.00
Space group Amm2 (No. 38)
One atom of each set of equivalent atoms:
Pr: 0.0000 0.0000 0.0000 (multiplicity 2)
Th: 0.5000 0.0000 0.2842 (multiplicity 2)
Ga: 0.5000 0.0000 0.5706 (multiplicity 2)
Si: 0.0000 0.0000 0.7174 (multiplicity 2)

Principal peaks in the range 10° ≤ 2θ ≤ 90°, low angle first:
2θ (°), I (rel.), h k l
21.53, 27, 0 1 1
27.07, 49, 1 0 2
30.91, 100, 1 1 1
31.18, 57, 0 1 3
31.73, 29, 0 0 4
38.44, 39, 1 1 3
40.69, 24, 0 2 0
44.67, 18, 2 0 0
49.56, 19, 1 2 2
55.48, 23, 2 1 3


(8)
Simulated powder diffractogram
Compound: PrHoRh
Radiation: Cu Kα (λ = 1.5418 Å)
Structure: a DFT-relaxed cell (GGA-PBE, Alexandria)
Kinematic intensities with the Lorentz-polarization factor, no thermal factor.

Structural model:
abc: 6.9217 6.1375 10.3039
angles: 90.00 128.08 90.00
Space group P2_1/c (No. 14)
One atom of each set of equivalent atoms:
Pr: 0.1809 0.1288 0.3869 (multiplicity 4)
Ho: 0.3421 0.6134 0.6332 (multiplicity 4)
Rh: 0.3396 0.6724 0.3665 (multiplicity 4)

Principal peaks in the range 10° ≤ 2θ ≤ 90°, low angle first:
2θ (°), I (rel.), h k l
25.81, 24, 2 0 -2
26.34, 22, 0 1 2
28.70, 54, 1 1 1
30.08, 54, 1 1 -3
31.91, 100, 1 2 -1
36.07, 52, 2 1 0
38.32, 48, 2 1 -4
41.92, 21, 3 1 -3
44.69, 36, 0 0 4
55.14, 22, 1 2 3